# Pr3Ho2Tm7
Theoretical powder diffractogram, copper Kα. Input: a GGA-PBE-relaxed structure.

The 10 most intense peaks (2θ from 10° to 90°), sorted by position:
| index | two_theta | I (rel.) |
| --- | --- | --- |
| 0 0 6 | 28.64 | 260 |
| 1 1 -2 | 30.79 | 305 |
| 2 0 0 | 30.94 | 275 |
| 2 0 -1 | 31.06 | 325 |
| 1 1 2 | 31.31 | 1000 |
| 0 1 4 | 31.62 | 279 |
| 1 0 -6 | 31.90 | 478 |
| 1 0 6 | 33.40 | 340 |
| 1 1 -4 | 34.86 | 390 |
| 3 0 -6 | 54.63 | 259 |

Structure:
abc: 5.7882 3.5545 18.7280
angles: 90.00 93.05 90.00
Sites, in units of the cell vectors:
Pr1 0.0000 0.0000 0.0000
Pr2 0.2757 0.5000 0.6332
Pr3 0.7243 0.5000 0.3668
Ho1 0.2119 0.0000 0.2909
Ho2 0.7881 0.0000 0.7091
Tm1 0.1928 0.5000 0.1434
Tm2 0.2429 0.0000 0.4614
Tm3 0.3047 0.0000 0.8257
Tm4 0.5000 0.5000 0.0000
Tm5 0.6953 0.0000 0.1743
Tm6 0.7571 0.0000 0.5386
Tm7 0.8072 0.5000 0.8566